1.
# HoCuB
Theoretical powder XRD pattern, Cu Ka. Input: a PBE-relaxed structure.

```
data_HoCuB
_chemical_formula_sum 'Ho4 Cu4 B4'
_cell_length_a 8.395
_cell_length_b 3.739
_cell_length_c 6.511
_cell_angle_alpha 90.00
_cell_angle_beta 101.86
_cell_angle_gamma 90.00
_space_group_name_H-M_alt 'C 1 2/m 1'
_space_group_IT_number 12
loop_
_space_group_symop_operation_xyz
'x,y,z'
'-x,-y,-z'
'-x,y,-z'
'x,-y,z'
'x+1/2,y+1/2,z'
'-x+1/2,-y+1/2,-z'
'-x+1/2,y+1/2,-z'
'x+1/2,-y+1/2,z'
loop_
_atom_site_label
_atom_site_fract_x
_atom_site_fract_y
_atom_site_fract_z
Ho1 0.101 0.000 0.291
Cu1 0.140 0.500 0.925
B1 0.080 0.500 0.587
```

Largest 8 diffraction maxima, in order of rising 2θ, 10 to 80 degrees two-theta:
2θ = 26.19°, d 3.403, intensity 27; 2θ = 28.16°, d 3.169, intensity 37; 2θ = 30.82°, d 2.901, intensity 100; 2θ = 31.81°, d 2.813, intensity 40; 2θ = 36.97°, d 2.431, intensity 40; 2θ = 40.39°, d 2.233, intensity 25; 2θ = 40.96°, d 2.204, intensity 74; 2θ = 48.71°, d 1.869, intensity 23

---

2.
# K2LiTeS4
Theoretical powder XRD pattern, Cu Ka. Input: a PBE-relaxed structure.

```
data_K2LiTeS4
_chemical_formula_sum 'K8 Li4 Te4 S16'
_cell_length_a 7.651
_cell_length_b 8.776
_cell_length_c 12.057
_cell_angle_alpha 90.00
_cell_angle_beta 90.00
_cell_angle_gamma 90.00
_space_group_name_H-M_alt 'I m m a'
_space_group_IT_number 74
_space_group_name_Hall '-I 2b 2'
loop_
_atom_site_label
_atom_site_fract_x
_atom_site_fract_y
_atom_site_fract_z
K1 0.000 0.000 0.000
K2 0.250 0.250 0.250
Li1 0.000 0.000 0.500
Te1 0.250 0.250 0.750
S1 0.000 0.036 0.749
S2 0.187 0.250 0.524
```

Largest 8 diffraction maxima, in order of rising 2θ, 10 to 80 degrees two-theta:
2θ = 12.48°, d 7.095, intensity 100; 2θ = 14.69°, d 6.029, intensity 44; 2θ = 20.24°, d 4.388, intensity 23; 2θ = 29.64°, d 3.014, intensity 62; 2θ = 31.01°, d 2.883, intensity 100; 2θ = 34.48°, d 2.601, intensity 26; 2θ = 41.14°, d 2.194, intensity 22; 2θ = 43.43°, d 2.084, intensity 70

---

3.
# Sm4Tm3Th2
Theoretical powder XRD pattern, Cu Ka. Input: a PBE-relaxed structure.

```
data_Sm4Tm3Th2
_chemical_formula_sum 'Sm16 Tm12 Th8'
_cell_length_a 16.150
_cell_length_b 11.785
_cell_length_c 6.155
_cell_angle_alpha 90.00
_cell_angle_beta 97.48
_cell_angle_gamma 90.00
_space_group_name_H-M_alt 'C 1 2/c 1'
_space_group_IT_number 15
loop_
_space_group_symop_operation_xyz
'x,y,z'
'-x,-y,-z'
'-x,y,-z+1/2'
'x,-y,z+1/2'
'x+1/2,y+1/2,z'
'-x+1/2,-y+1/2,-z'
'-x+1/2,y+1/2,-z+1/2'
'x+1/2,-y+1/2,z+1/2'
loop_
_atom_site_label
_atom_site_fract_x
_atom_site_fract_y
_atom_site_fract_z
Sm1 0.050 0.138 0.016
Sm2 0.216 0.365 0.846
Tm1 0.000 0.393 0.750
Tm2 0.169 0.108 0.583
Th1 0.110 0.361 0.312
```

Largest 8 diffraction maxima, in order of rising 2θ, 10 to 80 degrees two-theta:
2θ = 30.06°, d 2.972, intensity 59; 2θ = 30.34°, d 2.946, intensity 53; 2θ = 30.74°, d 2.908, intensity 61; 2θ = 32.11°, d 2.787, intensity 100; 2θ = 37.16°, d 2.420, intensity 37; 2θ = 37.72°, d 2.385, intensity 28; 2θ = 55.03°, d 1.669, intensity 17; 2θ = 55.35°, d 1.660, intensity 22

---

4.
# Pu2ZrS3
Theoretical powder XRD pattern, Cu Ka. Input: a PBE-relaxed structure.

```
data_Pu2ZrS3
_chemical_formula_sum 'Pu4 Zr2 S6'
_cell_length_a 3.8048
_cell_length_b 3.8048
_cell_length_c 19.6591
_cell_angle_alpha 90.00
_cell_angle_beta 90.00
_cell_angle_gamma 120.00
_space_group_name_H-M_alt 'P 63/m m c'
_space_group_IT_number 194
_space_group_name_Hall '-P 6c 2c'
loop_
_atom_site_label
_atom_site_fract_x
_atom_site_fract_y
_atom_site_fract_z
Pu1 0.3333 0.6667 0.0864
Zr1 0.0000 0.0000 0.2500
S1 0.0000 0.0000 0.0000
S2 0.3333 0.6667 0.6715
```

Largest 8 diffraction maxima, in order of rising 2θ, 10 to 80 degrees two-theta:
2θ = 27.22°, d 3.277, intensity 27; 2θ = 27.45°, d 3.250, intensity 19; 2θ = 30.36°, d 2.944, intensity 100; 2θ = 32.72°, d 2.737, intensity 37; 2θ = 42.28°, d 2.137, intensity 22; 2θ = 47.81°, d 1.902, intensity 37; 2θ = 50.10°, d 1.821, intensity 23; 2θ = 55.88°, d 1.645, intensity 25

---

5.
# CdCoHgPb2
Theoretical powder XRD pattern, Cu Ka. Input: a PBE-relaxed structure.

```
data_CdCoHgPb2
_chemical_formula_sum 'Cd1 Co1 Hg1 Pb2'
_cell_length_a 5.036
_cell_length_b 5.036
_cell_length_c 5.160
_cell_angle_alpha 90.00
_cell_angle_beta 90.00
_cell_angle_gamma 90.00
_space_group_name_H-M_alt 'P 4/m m m'
_space_group_IT_number 123
_space_group_name_Hall '-P 4 2'
loop_
_atom_site_label
_atom_site_fract_x
_atom_site_fract_y
_atom_site_fract_z
Cd1 0.000 0.000 0.000
Co1 0.000 0.000 0.500
Hg1 0.500 0.500 0.000
Pb1 0.000 0.500 0.500
```

Largest 8 diffraction maxima, in order of rising 2θ, 10 to 80 degrees two-theta:
2θ = 30.50°, d 2.931, intensity 100; 2θ = 34.77°, d 2.580, intensity 25; 2θ = 35.65°, d 2.518, intensity 47; 2θ = 50.65°, d 1.802, intensity 35; 2θ = 51.31°, d 1.781, intensity 17; 2θ = 59.70°, d 1.549, intensity 15; 2θ = 60.87°, d 1.522, intensity 29; 2θ = 63.48°, d 1.466, intensity 18

---

6.
# Zn2GaTe2
Theoretical powder XRD pattern, Cu Ka. Input: a PBE-relaxed structure.

```
data_Zn2GaTe2
_chemical_formula_sum 'Zn4 Ga2 Te4'
_cell_length_a 4.226
_cell_length_b 4.226
_cell_length_c 14.735
_cell_angle_alpha 90.00
_cell_angle_beta 90.00
_cell_angle_gamma 90.00
_space_group_name_H-M_alt 'I 4/m m m'
_space_group_IT_number 139
_space_group_name_Hall '-I 4 2'
loop_
_atom_site_label
_atom_site_fract_x
_atom_site_fract_y
_atom_site_fract_z
Zn1 0.000 0.500 0.250
Ga1 0.000 0.000 0.000
Te1 0.000 0.000 0.372
```

Largest 8 diffraction maxima, in order of rising 2θ, 10 to 80 degrees two-theta:
2θ = 21.88°, d 4.062, intensity 26; 2θ = 27.85°, d 3.203, intensity 100; 2θ = 32.33°, d 2.769, intensity 43; 2θ = 37.19°, d 2.417, intensity 36; 2θ = 38.80°, d 2.321, intensity 61; 2θ = 42.80°, d 2.113, intensity 50; 2θ = 51.83°, d 1.764, intensity 35; 2θ = 67.45°, d 1.388, intensity 24

---

7.
# Np3Mn3S8
Theoretical powder XRD pattern, Cu Ka. Input: a PBE-relaxed structure.

```
data_Np3Mn3S8
_chemical_formula_sum 'Np9 Mn9 S24'
_cell_length_a 7.8777
_cell_length_b 7.8777
_cell_length_c 18.0867
_cell_angle_alpha 90.00
_cell_angle_beta 90.00
_cell_angle_gamma 120.00
_space_group_name_H-M_alt 'R -3 m'
_space_group_IT_number 166
_space_group_name_Hall '-R 3 2"'
loop_
_atom_site_label
_atom_site_fract_x
_atom_site_fract_y
_atom_site_fract_z
Np1 0.0000 0.5000 0.0000
Mn1 0.0000 0.0000 0.1173
Mn2 0.0000 0.0000 0.5000
S1 0.0000 0.0000 0.2513
S2 0.0139 0.5069 0.2489
```

Largest 8 diffraction maxima, in order of rising 2θ, 10 to 80 degrees two-theta:
2θ = 13.87°, d 6.383, intensity 40; 2θ = 14.69°, d 6.029, intensity 78; 2θ = 26.59°, d 3.352, intensity 100; 2θ = 27.04°, d 3.297, intensity 46; 2θ = 27.94°, d 3.193, intensity 65; 2θ = 32.89°, d 2.723, intensity 92; 2θ = 46.09°, d 1.969, intensity 54; 2θ = 48.30°, d 1.884, intensity 51

---

8.
# Na8B13C3
Theoretical powder XRD pattern, Cu Ka. Input: a PBE-relaxed structure.

```
data_Na8B13C3
_chemical_formula_sum 'Na16 B26 C6'
_cell_length_a 8.685
_cell_length_b 5.706
_cell_length_c 10.465
_cell_angle_alpha 90.00
_cell_angle_beta 90.00
_cell_angle_gamma 90.00
_space_group_name_H-M_alt 'A m m 2'
_space_group_IT_number 38
loop_
_space_group_symop_operation_xyz
'x,y,z'
'-x,-y,z'
'-x,y,z'
'x,-y,z'
'x,y+1/2,z+1/2'
'-x,-y+1/2,z+1/2'
'-x,y+1/2,z+1/2'
'x,-y+1/2,z+1/2'
loop_
_atom_site_label
_atom_site_fract_x
_atom_site_fract_y
_atom_site_fract_z
Na1 0.249 0.000 0.000
Na2 0.250 0.000 0.501
Na3 0.251 0.250 0.249
B1 0.000 0.000 0.318
B2 0.000 0.000 0.663
B3 0.000 0.000 0.826
B4 0.000 0.236 0.088
B5 0.000 0.244 0.424
B6 0.500 0.000 0.160
B7 0.500 0.000 0.325
B8 0.500 0.000 0.660
B9 0.500 0.000 0.825
B10 0.500 0.249 0.932
C1 0.000 0.000 0.167
C2 0.500 0.250 0.081
```

Largest 8 diffraction maxima, in order of rising 2θ, 10 to 80 degrees two-theta:
2θ = 34.27°, d 2.616, intensity 9; 2θ = 35.85°, d 2.505, intensity 12; 2θ = 40.24°, d 2.241, intensity 36; 2θ = 41.61°, d 2.170, intensity 100; 2θ = 62.40°, d 1.488, intensity 13; 2θ = 75.94°, d 1.253, intensity 16; 2θ = 77.81°, d 1.228, intensity 12; 2θ = 79.67°, d 1.203, intensity 7

---

9.
# Pr2ScBi3
Theoretical powder XRD pattern, Cu Ka. Input: a PBE-relaxed structure.

```
data_Pr2ScBi3
_chemical_formula_sum 'Pr4 Sc2 Bi6'
_cell_length_a 4.521
_cell_length_b 6.449
_cell_length_c 13.511
_cell_angle_alpha 90.00
_cell_angle_beta 90.00
_cell_angle_gamma 90.00
_space_group_name_H-M_alt 'I m m m'
_space_group_IT_number 71
_space_group_name_Hall '-I 2 2'
loop_
_atom_site_label
_atom_site_fract_x
_atom_site_fract_y
_atom_site_fract_z
Pr1 0.000 0.000 0.171
Sc1 0.000 0.000 0.500
Bi1 0.000 0.500 0.153
Bi2 0.000 0.500 0.500
```

Largest 8 diffraction maxima, in order of rising 2θ, 10 to 80 degrees two-theta:
2θ = 24.07°, d 3.698, intensity 26; 2θ = 27.66°, d 3.225, intensity 53; 2θ = 27.96°, d 3.191, intensity 100; 2θ = 39.74°, d 2.268, intensity 79; 2θ = 39.88°, d 2.261, intensity 20; 2θ = 49.22°, d 1.851, intensity 23; 2θ = 49.36°, d 1.846, intensity 19; 2θ = 64.78°, d 1.439, intensity 19

---

10.
# La2PmSmTm2
Theoretical powder XRD pattern, Cu Ka. Input: a PBE-relaxed structure.

```
data_La2PmSmTm2
_chemical_formula_sum 'La4 Pm2 Sm2 Tm4'
_cell_length_a 5.803
_cell_length_b 11.067
_cell_length_c 6.368
_cell_angle_alpha 90.00
_cell_angle_beta 90.00
_cell_angle_gamma 90.00
_space_group_name_H-M_alt 'P m c 21'
_space_group_IT_number 26
loop_
_space_group_symop_operation_xyz
'x,y,z'
'-x,-y,z+1/2'
'-x,y,z'
'x,-y,z+1/2'
loop_
_atom_site_label
_atom_site_fract_x
_atom_site_fract_y
_atom_site_fract_z
La1 0.000 0.085 0.000
La2 0.500 0.251 0.160
Pm1 0.500 0.418 0.659
Sm1 0.000 0.253 0.496
Tm1 0.000 0.420 0.992
Tm2 0.500 0.083 0.663
```

Largest 8 diffraction maxima, in order of rising 2θ, 10 to 80 degrees two-theta:
2θ = 27.98°, d 3.189, intensity 24; 2θ = 30.82°, d 2.901, intensity 25; 2θ = 32.02°, d 2.795, intensity 100; 2θ = 42.10°, d 2.146, intensity 16; 2θ = 49.55°, d 1.840, intensity 13; 2θ = 55.57°, d 1.654, intensity 21; 2θ = 59.49°, d 1.554, intensity 15; 2θ = 60.13°, d 1.539, intensity 11

---

11.
# Hf3CuSn
Theoretical powder XRD pattern, Cu Ka. Input: a PBE-relaxed structure.

```
data_Hf3CuSn
_chemical_formula_sum 'Hf6 Cu2 Sn2'
_cell_length_a 6.7392
_cell_length_b 6.7392
_cell_length_c 5.3957
_cell_angle_alpha 90.00
_cell_angle_beta 90.00
_cell_angle_gamma 120.00
_space_group_name_H-M_alt 'P 63/m m c'
_space_group_IT_number 194
_space_group_name_Hall '-P 6c 2c'
loop_
_atom_site_label
_atom_site_fract_x
_atom_site_fract_y
_atom_site_fract_z
Hf1 0.1849 0.3699 0.2500
Cu1 0.0000 0.0000 0.0000
Sn1 0.3333 0.6667 0.7500
```

Largest 8 diffraction maxima, in order of rising 2θ, 10 to 80 degrees two-theta:
2θ = 30.64°, d 2.918, intensity 14; 2θ = 33.21°, d 2.698, intensity 22; 2θ = 34.96°, d 2.567, intensity 100; 2θ = 45.80°, d 1.981, intensity 24; 2θ = 54.46°, d 1.685, intensity 20; 2θ = 60.46°, d 1.531, intensity 21; 2θ = 65.30°, d 1.429, intensity 15; 2θ = 66.37°, d 1.408, intensity 13

---

12.
# ReRu3
Theoretical powder XRD pattern, Cu Ka. Input: a PBE-relaxed structure.

```
data_ReRu3
_chemical_formula_sum 'Re2 Ru6'
_cell_length_a 5.4740
_cell_length_b 5.4740
_cell_length_c 4.3427
_cell_angle_alpha 90.00
_cell_angle_beta 90.00
_cell_angle_gamma 120.00
_space_group_name_H-M_alt 'P 63/m m c'
_space_group_IT_number 194
_space_group_name_Hall '-P 6c 2c'
loop_
_atom_site_label
_atom_site_fract_x
_atom_site_fract_y
_atom_site_fract_z
Re1 0.3333 0.6667 0.2500
Ru1 0.1670 0.3341 0.7500
```

Largest 8 diffraction maxima, in order of rising 2θ, 10 to 80 degrees two-theta:
2θ = 27.86°, d 3.202, intensity 8; 2θ = 32.72°, d 2.737, intensity 4; 2θ = 37.96°, d 2.370, intensity 25; 2θ = 41.59°, d 2.171, intensity 25; 2θ = 43.50°, d 2.081, intensity 100; 2θ = 57.57°, d 1.601, intensity 14; 2θ = 68.57°, d 1.368, intensity 17; 2θ = 77.22°, d 1.235, intensity 18

---

13.
# PmDy2Sn2
Theoretical powder XRD pattern, Cu Ka. Input: a PBE-relaxed structure.

```
data_PmDy2Sn2
_chemical_formula_sum 'Pm4 Dy8 Sn8'
_cell_length_a 4.885
_cell_length_b 18.714
_cell_length_c 6.540
_cell_angle_alpha 90.00
_cell_angle_beta 90.00
_cell_angle_gamma 90.00
_space_group_name_H-M_alt 'C m c 21'
_space_group_IT_number 36
loop_
_space_group_symop_operation_xyz
'x,y,z'
'-x,-y,z+1/2'
'-x,y,z'
'x,-y,z+1/2'
'x+1/2,y+1/2,z'
'-x+1/2,-y+1/2,z+1/2'
'-x+1/2,y+1/2,z'
'x+1/2,-y+1/2,z+1/2'
loop_
_atom_site_label
_atom_site_fract_x
_atom_site_fract_y
_atom_site_fract_z
Pm1 0.000 0.108 0.000
Dy1 0.000 0.314 0.010
Dy2 0.000 0.498 0.752
Sn1 0.000 0.073 0.503
Sn2 0.000 0.296 0.513
```

Largest 8 diffraction maxima, in order of rising 2θ, 10 to 80 degrees two-theta:
2θ = 27.27°, d 3.270, intensity 23; 2θ = 28.92°, d 3.087, intensity 19; 2θ = 30.08°, d 2.971, intensity 100; 2θ = 33.32°, d 2.689, intensity 30; 2θ = 36.05°, d 2.491, intensity 38; 2θ = 36.80°, d 2.442, intensity 35; 2θ = 41.05°, d 2.199, intensity 22; 2θ = 65.12°, d 1.432, intensity 22